Record 1
This entry pairs a crystal structure of Cr4CdCu3O12 with its theoretical powder diffractogram. Radiation: Cu Kα. Structure: a GGA+U-relaxed structure.
Peak positions follow from Bragg's law for the DFT cell and can differ from measured ones.

Top 10 peaks for 2θ from 10° to 90°, low angle first:
2θ = 17.0°, intensity 4, hkl 1 1 0
2θ = 24.1°, intensity 4, hkl 2 0 0
2θ = 34.3°, intensity 100, hkl 2 2 0
2θ = 38.5°, intensity 8, hkl 3 0 1
2θ = 42.4°, intensity 5, hkl 2 2 2
2θ = 46.0°, intensity 6, hkl 3 1 2
2θ = 49.3°, intensity 24, hkl 4 0 0
2θ = 61.5°, intensity 47, hkl 4 2 2
2θ = 72.3°, intensity 11, hkl 4 4 0
2θ = 82.6°, intensity 16, hkl 6 2 0

Cell and atoms:
Cell: 7.3896 7.3896 7.3896 Å, 90.00 90.00 90.00°
Space group Im-3 (No. 204)
Symmetry-distinct sites (fractional):
1 Cr 0.2500 0.2500 0.2500 (multiplicity 8)
2 Cd 0.0000 0.0000 0.0000 (multiplicity 2)
3 Cu 0.0000 0.0000 0.5000 (multiplicity 6)
4 O 0.0000 0.3129 0.1700 (multiplicity 24)



Record 2
This entry pairs a crystal structure of Cr6CdCu2O12 with its theoretical powder diffractogram. Radiation: Cu Kα. Structure: a GGA+U-relaxed structure.
Peak positions follow from Bragg's law for the DFT cell and can differ from measured ones.

Top 10 peaks for 2θ from 10° to 90°, low angle first:
2θ = 29.5°, intensity 47, hkl 2 0 0
2θ = 34.7°, intensity 100, hkl 1 0 3
2θ = 52.3°, intensity 16, hkl 0 6 4
2θ = 55.7°, intensity 27, hkl 3 6 1
2θ = 55.9°, intensity 11, hkl 0 3 5
2θ = 61.2°, intensity 13, hkl 4 0 0
2θ = 61.3°, intensity 26, hkl 2 6 4
2θ = 72.3°, intensity 9, hkl 1 12 3
2θ = 84.7°, intensity 6, hkl 4 6 4
2θ = 87.4°, intensity 9, hkl 5 0 3

Cell and atoms:
Cell: 6.0621 18.1828 8.5471 Å, 90.00 90.00 90.00°
Space group Imm2 (No. 44)
Symmetry-distinct sites (fractional):
1 Cr 0.0000 0.0822 0.0000 (multiplicity 4)
2 Cr 0.0000 0.2504 0.0068 (multiplicity 4)
3 Cr 0.0000 0.4184 0.0073 (multiplicity 4)
4 Cr 0.2468 0.5000 0.7491 (multiplicity 4)
5 Cr 0.2491 0.3356 0.2583 (multiplicity 8)
6 Cd 0.0000 0.1656 0.3791 (multiplicity 4)
7 Cu 0.0000 0.0000 0.6287 (multiplicity 2)
8 Cu 0.0000 0.3333 0.6301 (multiplicity 4)
9 Cu 0.0000 0.5000 0.3800 (multiplicity 2)
10 O 0.0000 0.0706 0.2314 (multiplicity 4)
11 O 0.0000 0.0909 0.7658 (multiplicity 4)
12 O 0.0000 0.2402 0.7682 (multiplicity 4)
13 O 0.0000 0.2638 0.2407 (multiplicity 4)
14 O 0.0000 0.4104 0.2453 (multiplicity 4)
15 O 0.0000 0.4248 0.7672 (multiplicity 4)
16 O 0.2132 0.3347 0.0254 (multiplicity 8)
17 O 0.2230 0.1661 0.9950 (multiplicity 8)
18 O 0.2260 0.0000 0.0115 (multiplicity 4)
19 O 0.2269 0.5000 0.9884 (multiplicity 4)



Record 3
This entry pairs a crystal structure of Cr6CdCu2O12 with its theoretical powder diffractogram. Radiation: Cu Kα. Structure: a GGA+U-relaxed structure.
Peak positions follow from Bragg's law for the DFT cell and can differ from measured ones.

Top 10 peaks for 2θ from 10° to 90°, low angle first:
2θ = 29.5°, intensity 71, hkl 2 0 0
2θ = 34.7°, intensity 100, hkl 2 1 3
2θ = 34.8°, intensity 50, hkl 1 0 9
2θ = 52.3°, intensity 16, hkl 3 1 6
2θ = 55.7°, intensity 41, hkl 3 2 3
2θ = 55.9°, intensity 16, hkl 1 0 15
2θ = 61.1°, intensity 20, hkl 4 0 0
2θ = 61.3°, intensity 39, hkl 2 2 12
2θ = 72.3°, intensity 10, hkl 4 1 9
2θ = 87.4°, intensity 13, hkl 5 0 9

Cell and atoms:
Cell: 6.0641 6.0641 25.6117 Å, 90.00 90.00 90.00°
Space group I-4m2 (No. 119)
Symmetry-distinct sites (fractional):
1 Cr 0.0000 0.2468 0.1225 (multiplicity 8)
2 Cr 0.0000 0.2493 0.7923 (multiplicity 8)
3 Cr 0.0000 0.2530 0.4605 (multiplicity 8)
4 Cd 0.0000 0.0000 0.3352 (multiplicity 4)
5 Cu 0.0000 0.0000 0.0000 (multiplicity 2)
6 Cu 0.0000 0.5000 0.2500 (multiplicity 2)
7 Cu 0.0000 0.5000 0.5819 (multiplicity 4)
8 O 0.0000 0.2211 0.5386 (multiplicity 8)
9 O 0.0000 0.2247 0.8722 (multiplicity 8)
10 O 0.0000 0.2267 0.2023 (multiplicity 8)
11 O 0.0000 0.2758 0.0428 (multiplicity 8)
12 O 0.0000 0.2849 0.7142 (multiplicity 8)
13 O 0.0000 0.2887 0.3834 (multiplicity 8)